# 1
Diffraction record for Li2CrO3. The powder diffraction line list is simulated, not measured: it uses a cell relaxed with GGA+U and Cu Kα (λ = 1.5418 Å).
Peak positions follow from Bragg's law for the DFT cell and can differ from measured ones.

Largest 6 diffraction maxima, low angle first, 5° ≤ 2θ ≤ 70°:
2theta  I (rel.)  h k l
18.3  26  1 1 0
18.5  66  2 0 0
25.6  100  1 1 1
31.9  21  0 2 0
32.2  33  3 1 0
36.0  32  0 0 2

Crystal structure
```
data_Li2CrO3
_space_group_name_H-M_alt 'C m c 21'
_space_group_IT_number 36
_space_group_name_Hall 'C 2c -2'
_cell_length_a 9.603
_cell_length_b 5.606
_cell_length_c 4.992
_cell_angle_alpha 90.00
_cell_angle_beta 90.00
_cell_angle_gamma 90.00
loop_
_atom_site_label
_atom_site_type_symbol
_atom_site_fract_x
_atom_site_fract_y
_atom_site_fract_z
_atom_site_occupancy
Li1 Li 0.171 0.164 0.000 1
Cr1 Cr 0.000 0.323 0.504 1
O1 O 0.000 0.363 0.130 1
O2 O 0.153 0.176 0.601 1
```

# 2
Diffraction record for Li2Cr2O7. The powder diffraction line list is simulated, not measured: it uses a cell relaxed with GGA+U and Cu Kα (λ = 1.5418 Å).
Peak positions follow from Bragg's law for the DFT cell and can differ from measured ones.

Largest 6 diffraction maxima, low angle first, 5° ≤ 2θ ≤ 70°:
2theta  I (rel.)  h k l
16.3  41  1 0 -1
18.5  61  0 1 -1
21.0  100  -1 1 1
28.6  45  1 1 1
29.4  90  1 1 -2
29.7  35  2 0 0

Crystal structure
```
data_Li2Cr2O7
_space_group_name_H-M_alt 'P -1'
_space_group_IT_number 2
_space_group_name_Hall '-P 1'
_cell_length_a 6.469
_cell_length_b 6.735
_cell_length_c 6.763
_cell_angle_alpha 93.26
_cell_angle_beta 111.02
_cell_angle_gamma 93.37
loop_
_atom_site_label
_atom_site_type_symbol
_atom_site_fract_x
_atom_site_fract_y
_atom_site_fract_z
_atom_site_occupancy
Li1 Li 0.212 0.126 0.453 1
Li2 Li 0.247 0.668 0.175 1
Cr1 Cr 0.256 0.165 0.978 1
Cr2 Cr 0.295 0.655 0.678 1
O1 O 0.038 0.645 0.660 1
O2 O 0.129 0.362 0.002 1
O3 O 0.157 0.066 0.732 1
O4 O 0.233 0.008 0.149 1
O5 O 0.336 0.793 0.499 1
O6 O 0.382 0.434 0.655 1
O7 O 0.455 0.758 0.946 1
```